Starting from a structure optimized by DFT (PBE), the powder diffractogram of RbSrCl3 was computed for λ = 1.5418 Å (Cu Kα).
Kinematic intensities with the Lorentz-polarization factor, no thermal factor.

Main lines, by intensity (2θ = 10–80°):
| two_theta | d (Å) | I_rel |
| --- | --- | --- |
| 33.9 | 2.641 | 100.0 |
| 21.1 | 4.214 | 86.4 |
| 23.0 | 3.865 | 65.3 |
| 40.4 | 2.232 | 59.2 |
| 31.4 | 2.849 | 51.6 |
| 15.6 | 5.697 | 51.5 |
| 39.3 | 2.293 | 49.6 |
| 26.1 | 3.409 | 46.0 |

Lattice parameters (Å, degrees): 8.4980 8.4980 8.4980 54.11 54.11 54.11
Fractional coordinates of all 10 atoms:
Rb 0.1404 0.1404 0.1404
Rb 0.8596 0.8596 0.8596
Sr 0.3431 0.3431 0.3431
Sr 0.6569 0.6569 0.6569
Cl 0.0556 0.7031 0.4681
Cl 0.2969 0.5319 0.9444
Cl 0.4681 0.0556 0.7031
Cl 0.5319 0.9444 0.2969
Cl 0.7031 0.4681 0.0556
Cl 0.9444 0.2969 0.5319

Starting from a structure optimized by DFT (PBE), the powder diffractogram of Pr6GaRu was computed for λ = 1.5418 Å (Cu Kα).
Kinematic intensities with the Lorentz-polarization factor, no thermal factor.

Main lines, by intensity (2θ = 10–80°):
| two_theta | d (Å) | I_rel |
| --- | --- | --- |
| 28.9 | 3.087 | 100.0 |
| 37.4 | 2.407 | 36.0 |
| 45.1 | 2.011 | 26.4 |
| 48.6 | 1.872 | 23.7 |
| 26.8 | 3.331 | 18.1 |
| 54.4 | 1.685 | 14.0 |
| 53.2 | 1.722 | 8.6 |
| 23.1 | 3.848 | 8.6 |

Lattice parameters (Å, degrees): 6.9594 6.9706 7.7762 90.07 116.51 119.94
Fractional coordinates of all 8 atoms:
Pr 0.0246 0.0803 0.2480
Pr 0.3037 0.7235 0.2478
Pr 0.3312 0.5554 0.7521
Pr 0.6688 0.4446 0.2479
Pr 0.6963 0.2765 0.7522
Pr 0.9754 0.9197 0.7520
Ga 0.5000 0.0000 0.0000
Ru 0.5000 0.5000 0.5000

Starting from a structure optimized by DFT (PBE), the powder diffractogram of KAg4Br5 was computed for λ = 1.5418 Å (Cu Kα).
Kinematic intensities with the Lorentz-polarization factor, no thermal factor.

Main lines, by intensity (2θ = 10–80°):
| two_theta | d (Å) | I_rel |
| --- | --- | --- |
| 19.3 | 4.602 | 100.0 |
| 13.1 | 6.774 | 86.4 |
| 25.3 | 3.516 | 80.5 |
| 27.6 | 3.233 | 70.8 |
| 37.0 | 2.429 | 70.5 |
| 26.4 | 3.376 | 69.6 |
| 44.9 | 2.019 | 66.1 |
| 33.9 | 2.647 | 41.3 |

Lattice parameters (Å, degrees): 8.1295 12.2499 6.9725 90.00 90.00 90.00
Fractional coordinates of all 20 atoms:
K 0.2500 0.2500 0.0079
K 0.7500 0.7500 0.9921
Ag 0.0717 0.7500 0.5758
Ag 0.2500 0.5566 0.0289
Ag 0.2500 0.9434 0.0289
Ag 0.4283 0.7500 0.5758
Ag 0.5717 0.2500 0.4242
Ag 0.7500 0.0566 0.9711
Ag 0.7500 0.4434 0.9711
Ag 0.9283 0.2500 0.4242
Br 0.0066 0.0724 0.2314
Br 0.0066 0.4276 0.2314
Br 0.2500 0.7500 0.2517
Br 0.4934 0.0724 0.2314
Br 0.4934 0.4276 0.2314
Br 0.5066 0.5724 0.7686
Br 0.5066 0.9276 0.7686
Br 0.7500 0.2500 0.7483
Br 0.9934 0.5724 0.7686
Br 0.9934 0.9276 0.7686

Starting from a structure optimized by DFT (PBE), the powder diffractogram of CsHAuF6 was computed for λ = 1.5418 Å (Cu Kα).
Kinematic intensities with the Lorentz-polarization factor, no thermal factor.

Main lines, by intensity (2θ = 10–80°):
| two_theta | d (Å) | I_rel |
| --- | --- | --- |
| 21.9 | 4.061 | 100.0 |
| 22.0 | 4.041 | 50.5 |
| 24.0 | 3.709 | 39.3 |
| 24.5 | 3.640 | 33.8 |
| 29.5 | 3.024 | 29.4 |
| 36.2 | 2.482 | 24.6 |
| 28.2 | 3.169 | 22.3 |
| 14.0 | 6.338 | 19.5 |

Lattice parameters (Å, degrees): 5.0228 5.1232 6.3899 93.90 94.87 106.10
Fractional coordinates of all 9 atoms:
Cs 0.0000 0.0000 0.0000
H 0.0000 0.0000 0.5000
Au 0.5000 0.5000 0.5000
F 0.0961 0.2212 0.5717
F 0.3223 0.5860 0.2364
F 0.4321 0.7987 0.6793
F 0.5679 0.2013 0.3207
F 0.6777 0.4140 0.7636
F 0.9039 0.7788 0.4283

Starting from a structure optimized by DFT (PBE), the powder diffractogram of Cu5O5F was computed for λ = 1.5418 Å (Cu Kα).
Kinematic intensities with the Lorentz-polarization factor, no thermal factor.

Main lines, by intensity (2θ = 10–80°):
| two_theta | d (Å) | I_rel |
| --- | --- | --- |
| 32.1 | 2.792 | 100.0 |
| 35.6 | 2.518 | 43.4 |
| 44.9 | 2.017 | 36.4 |
| 36.5 | 2.463 | 32.7 |
| 47.3 | 1.920 | 28.2 |
| 58.3 | 1.582 | 27.8 |
| 56.2 | 1.636 | 25.9 |
| 23.2 | 3.832 | 19.8 |

Lattice parameters (Å, degrees): 5.1188 5.1188 5.6505 103.64 103.64 66.11
Fractional coordinates of all 11 atoms:
Cu 0.0000 0.0000 0.0000
Cu 0.2993 0.2993 0.6383
Cu 0.3391 0.3391 0.1866
Cu 0.6609 0.6609 0.8134
Cu 0.7007 0.7007 0.3617
O 0.1626 0.1626 0.3126
O 0.1852 0.1852 0.8780
O 0.5000 0.5000 0.5000
O 0.8148 0.8148 0.1220
O 0.8374 0.8374 0.6874
F 0.5000 0.5000 0.0000

Starting from a structure optimized by DFT (PBE), the powder diffractogram of Zr3Ni was computed for λ = 1.5418 Å (Cu Kα).
Kinematic intensities with the Lorentz-polarization factor, no thermal factor.

Main lines, by intensity (2θ = 10–80°):
| two_theta | d (Å) | I_rel |
| --- | --- | --- |
| 35.4 | 2.536 | 100.0 |
| 38.8 | 2.320 | 86.8 |
| 35.8 | 2.506 | 86.3 |
| 36.2 | 2.484 | 84.9 |
| 39.7 | 2.269 | 77.9 |
| 32.9 | 2.723 | 61.3 |
| 34.5 | 2.603 | 55.0 |
| 34.8 | 2.576 | 46.3 |

Lattice parameters (Å, degrees): 6.0602 9.2688 5.7644 90.00 90.00 90.00
Fractional coordinates of all 16 atoms:
Zr 0.0365 0.2500 0.1645
Zr 0.2064 0.0545 0.6311
Zr 0.2064 0.4455 0.6311
Zr 0.2936 0.5545 0.1311
Zr 0.2936 0.9455 0.1311
Zr 0.4635 0.7500 0.6645
Zr 0.5365 0.2500 0.3355
Zr 0.7064 0.0545 0.8689
Zr 0.7064 0.4455 0.8689
Zr 0.7936 0.5545 0.3689
Zr 0.7936 0.9455 0.3689
Zr 0.9635 0.7500 0.8355
Ni 0.1100 0.7500 0.3888
Ni 0.3900 0.2500 0.8888
Ni 0.6100 0.7500 0.1112
Ni 0.8900 0.2500 0.6112

Starting from a structure optimized by DFT (PBE), the powder diffractogram of Ca2Al2Ni15 was computed for λ = 1.5418 Å (Cu Kα).
Kinematic intensities with the Lorentz-polarization factor, no thermal factor.

Main lines, by intensity (2θ = 10–80°):
| two_theta | d (Å) | I_rel |
| --- | --- | --- |
| 49.0 | 1.858 | 100.0 |
| 43.6 | 2.076 | 99.0 |
| 21.3 | 4.169 | 58.1 |
| 43.4 | 2.085 | 50.4 |
| 44.2 | 2.050 | 46.5 |
| 49.6 | 1.839 | 23.7 |
| 38.5 | 2.341 | 21.5 |
| 79.7 | 1.204 | 16.4 |

Lattice parameters (Å, degrees): 6.3228 6.3228 6.3228 82.50 82.50 82.50
Fractional coordinates of all 19 atoms:
Ca 0.1489 0.1489 0.1489
Ca 0.8511 0.8511 0.8511
Al 0.3960 0.3960 0.3960
Al 0.6040 0.6040 0.6040
Ni 0.0000 0.5000 0.5000
Ni 0.1572 0.1572 0.6482
Ni 0.1572 0.6482 0.1572
Ni 0.2094 0.5000 0.7906
Ni 0.2094 0.7906 0.5000
Ni 0.3518 0.8428 0.8428
Ni 0.5000 0.0000 0.5000
Ni 0.5000 0.2094 0.7906
Ni 0.5000 0.5000 0.0000
Ni 0.5000 0.7906 0.2094
Ni 0.6482 0.1572 0.1572
Ni 0.7906 0.2094 0.5000
Ni 0.7906 0.5000 0.2094
Ni 0.8428 0.3518 0.8428
Ni 0.8428 0.8428 0.3518

Starting from a structure optimized by DFT (PBE), the powder diffractogram of Th2ZrNi2 was computed for λ = 1.5418 Å (Cu Kα).
Kinematic intensities with the Lorentz-polarization factor, no thermal factor.

Main lines, by intensity (2θ = 10–80°):
| two_theta | d (Å) | I_rel |
| --- | --- | --- |
| 32.9 | 2.723 | 100.0 |
| 28.7 | 3.112 | 54.9 |
| 33.7 | 2.663 | 45.0 |
| 35.8 | 2.508 | 40.7 |
| 29.9 | 2.993 | 37.7 |
| 36.4 | 2.465 | 36.2 |
| 37.9 | 2.374 | 30.7 |
| 56.3 | 1.635 | 29.5 |

Lattice parameters (Å, degrees): 6.3034 6.3034 6.7990 98.60 98.60 56.44
Fractional coordinates of all 10 atoms:
Th 0.0451 0.2514 0.1476
Th 0.2514 0.0451 0.6476
Th 0.7486 0.9549 0.3524
Th 0.9549 0.7486 0.8524
Zr 0.4003 0.5997 0.2500
Zr 0.5997 0.4003 0.7500
Ni 0.2050 0.4870 0.4977
Ni 0.4870 0.2050 0.9977
Ni 0.5130 0.7950 0.0023
Ni 0.7950 0.5130 0.5023

Starting from a structure optimized by DFT (PBE), the powder diffractogram of Tb2BeHPt6 was computed for λ = 1.5418 Å (Cu Kα).
Kinematic intensities with the Lorentz-polarization factor, no thermal factor.

Main lines, by intensity (2θ = 10–80°):
| two_theta | d (Å) | I_rel |
| --- | --- | --- |
| 37.9 | 2.372 | 100.0 |
| 42.2 | 2.140 | 64.8 |
| 31.4 | 2.851 | 53.5 |
| 38.1 | 2.365 | 49.5 |
| 42.5 | 2.129 | 31.7 |
| 65.6 | 1.423 | 22.1 |
| 31.8 | 2.816 | 14.2 |
| 78.4 | 1.219 | 12.4 |

Lattice parameters (Å, degrees): 5.6890 5.6955 6.5683 64.39 64.73 60.08
Fractional coordinates of all 10 atoms:
Tb 0.2232 0.2233 0.3322
Tb 0.7768 0.7767 0.6678
Be 0.5000 0.5000 0.5000
H 0.0000 0.0000 0.0000
Pt 0.2383 0.2377 0.7934
Pt 0.2378 0.7293 0.7942
Pt 0.2685 0.7626 0.2074
Pt 0.7315 0.2374 0.7926
Pt 0.7622 0.2707 0.2058
Pt 0.7617 0.7623 0.2066

Starting from a structure optimized by DFT (PBE), the powder diffractogram of Er5MgIn3 was computed for λ = 1.5418 Å (Cu Kα).
Kinematic intensities with the Lorentz-polarization factor, no thermal factor.

Main lines, by intensity (2θ = 10–80°):
| two_theta | d (Å) | I_rel |
| --- | --- | --- |
| 33.7 | 2.659 | 100.0 |
| 33.5 | 2.673 | 92.6 |
| 48.3 | 1.885 | 30.8 |
| 60.2 | 1.538 | 28.5 |
| 67.0 | 1.396 | 27.0 |
| 60.3 | 1.535 | 14.8 |
| 11.1 | 7.976 | 13.8 |
| 32.7 | 2.739 | 13.8 |

Lattice parameters (Å, degrees): 9.2095 9.2095 6.5636 90.00 90.00 120.00
Fractional coordinates of all 18 atoms:
Er 0.0000 0.3060 0.2500
Er 0.0000 0.6940 0.7500
Er 0.3060 0.0000 0.2500
Er 0.3060 0.3060 0.7500
Er 0.3333 0.6667 0.0000
Er 0.3333 0.6667 0.5000
Er 0.6667 0.3333 0.0000
Er 0.6667 0.3333 0.5000
Er 0.6940 0.0000 0.7500
Er 0.6940 0.6940 0.2500
Mg 0.0000 0.0000 0.0000
Mg 0.0000 0.0000 0.5000
In 0.0000 0.3570 0.7500
In 0.0000 0.6430 0.2500
In 0.3570 0.0000 0.7500
In 0.3570 0.3570 0.2500
In 0.6430 0.0000 0.2500
In 0.6430 0.6430 0.7500

Starting from a structure optimized by DFT (PBE), the powder diffractogram of Tm2Si2Ni5 was computed for λ = 1.5418 Å (Cu Kα).
Kinematic intensities with the Lorentz-polarization factor, no thermal factor.

Main lines, by intensity (2θ = 10–80°):
| two_theta | d (Å) | I_rel |
| --- | --- | --- |
| 38.8 | 2.319 | 100.0 |
| 45.9 | 1.979 | 39.8 |
| 31.2 | 2.862 | 36.5 |
| 22.5 | 3.958 | 22.2 |
| 65.2 | 1.431 | 16.2 |
| 56.5 | 1.628 | 14.0 |
| 43.7 | 2.072 | 13.8 |
| 49.7 | 1.836 | 12.7 |

Lattice parameters (Å, degrees): 3.9579 3.9579 8.2895 90.00 90.00 90.00
Fractional coordinates of all 9 atoms:
Tm 0.0000 0.0000 0.0000
Tm 0.0000 0.0000 0.5000
Si 0.5000 0.5000 0.1463
Si 0.5000 0.5000 0.8537
Ni 0.0000 0.5000 0.2767
Ni 0.0000 0.5000 0.7233
Ni 0.5000 0.0000 0.2767
Ni 0.5000 0.0000 0.7233
Ni 0.5000 0.5000 0.5000

Starting from a structure optimized by DFT (PBE), the powder diffractogram of Ac2UHS6 was computed for λ = 1.5418 Å (Cu Kα).
Kinematic intensities with the Lorentz-polarization factor, no thermal factor.

Main lines, by intensity (2θ = 10–80°):
| two_theta | d (Å) | I_rel |
| --- | --- | --- |
| 25.8 | 3.449 | 100.0 |
| 25.0 | 3.560 | 78.1 |
| 37.6 | 2.390 | 47.6 |
| 15.9 | 5.564 | 38.2 |
| 27.0 | 3.308 | 32.4 |
| 30.1 | 2.970 | 30.5 |
| 34.9 | 2.572 | 25.7 |
| 44.6 | 2.030 | 22.1 |

Lattice parameters (Å, degrees): 6.9104 6.9104 6.9212 117.75 117.75 57.20
Fractional coordinates of all 10 atoms:
Ac 0.2381 0.2381 0.2120
Ac 0.7619 0.7619 0.7880
U 0.0000 0.0000 0.5000
H 0.5000 0.5000 0.0000
S 0.2086 0.6847 0.1862
S 0.2423 0.2423 0.6410
S 0.3153 0.7914 0.8138
S 0.6847 0.2086 0.1862
S 0.7577 0.7577 0.3590
S 0.7914 0.3153 0.8138

Starting from a structure optimized by DFT (PBE), the powder diffractogram of CsLiTe2 was computed for λ = 1.5418 Å (Cu Kα).
Kinematic intensities with the Lorentz-polarization factor, no thermal factor.

Main lines, by intensity (2θ = 10–80°):
| two_theta | d (Å) | I_rel |
| --- | --- | --- |
| 22.9 | 3.881 | 100.0 |
| 21.5 | 4.134 | 56.2 |
| 28.5 | 3.134 | 36.6 |
| 24.4 | 3.649 | 33.1 |
| 30.8 | 2.901 | 28.5 |
| 36.0 | 2.498 | 28.0 |
| 33.0 | 2.713 | 27.1 |
| 24.7 | 3.598 | 22.4 |

Lattice parameters (Å, degrees): 5.7438 7.6148 8.1933 106.20 105.41 95.21
Fractional coordinates of all 8 atoms:
Cs 0.1134 0.1659 0.3384
Cs 0.8866 0.8341 0.6616
Li 0.2209 0.4331 0.9434
Li 0.7791 0.5669 0.0566
Te 0.2498 0.6572 0.2917
Te 0.4490 0.8191 0.0724
Te 0.5510 0.1809 0.9276
Te 0.7502 0.3428 0.7083